No. 1
The following is a simulated powder X-ray diffraction pattern of Tm3ThAg2. It was derived from a DFT-relaxed cell (PBE, Alexandria), using Cu Kα (λ = 1.5418 Å).

Peak list (10 most intense, 2θ = 10–80°, low angle first)
- 25.93 deg, I 6
- 29.00 deg, I 13
- 33.54 deg, I 100
- 35.41 deg, I 51
- 45.27 deg, I 6
- 50.94 deg, I 18
- 58.75 deg, I 12
- 59.70 deg, I 9
- 62.38 deg, I 33
- 70.50 deg, I 7

Unit cell a=3.585 b=3.585 c=12.019 alpha=90.00 beta=90.00 gamma=90.00
Element x y z (fractional)
Tm (0.000, 0.000, 0.000)
Tm (0.000, 0.000, 0.300)
Tm (0.000, 0.000, 0.700)
Th (0.500, 0.500, 0.500)
Ag (0.500, 0.500, 0.150)
Ag (0.500, 0.500, 0.850)

***

No. 2
The following is a simulated powder X-ray diffraction pattern of Ac2NdScSe5. It was derived from a DFT-relaxed cell (PBE, Alexandria), using Cu Kα (λ = 1.5418 Å).

Peak list (10 most intense, 2θ = 10–80°, low angle first)
- 21.26 deg, I 92
- 25.19 deg, I 100
- 28.89 deg, I 96
- 31.01 deg, I 53
- 32.92 deg, I 43
- 33.18 deg, I 40
- 33.44 deg, I 71
- 33.79 deg, I 33
- 43.24 deg, I 67
- 43.77 deg, I 38

Unit cell a=9.078 b=9.078 c=14.230 alpha=90.00 beta=90.00 gamma=153.34
Element x y z (fractional)
Ac (0.088, 0.912, 0.500)
Ac (0.139, 0.861, 0.160)
Ac (0.861, 0.139, 0.660)
Ac (0.912, 0.088, 0.000)
Nd (0.452, 0.548, 0.309)
Nd (0.548, 0.452, 0.809)
Sc (0.225, 0.775, 0.890)
Sc (0.775, 0.225, 0.390)
Se (0.080, 0.920, 0.942)
Se (0.261, 0.739, 0.529)
Se (0.295, 0.705, 0.262)
Se (0.376, 0.624, 0.840)
Se (0.496, 0.504, 0.621)
Se (0.504, 0.496, 0.121)
Se (0.624, 0.376, 0.340)
Se (0.705, 0.295, 0.762)
Se (0.739, 0.261, 0.029)
Se (0.920, 0.080, 0.442)

***

No. 3
The following is a simulated powder X-ray diffraction pattern of Ba2Ni3N2. It was derived from a DFT-relaxed cell (PBE, Alexandria), using Cu Kα (λ = 1.5418 Å).

Peak list (10 most intense, 2θ = 10–80°, low angle first)
- 25.09 deg, I 27
- 28.35 deg, I 71
- 30.92 deg, I 100
- 32.74 deg, I 49
- 34.91 deg, I 32
- 36.30 deg, I 29
- 40.16 deg, I 37
- 47.98 deg, I 34
- 51.48 deg, I 23
- 57.29 deg, I 21

Unit cell a=7.454 b=6.335 c=6.335 alpha=111.85 beta=90.00 gamma=90.00
Element x y z (fractional)
Ba (0.093, 0.166, 0.834)
Ba (0.407, 0.666, 0.334)
Ba (0.593, 0.334, 0.666)
Ba (0.907, 0.834, 0.166)
Ni (0.000, 0.528, 0.528)
Ni (0.243, 0.667, 0.827)
Ni (0.257, 0.167, 0.327)
Ni (0.500, 0.028, 0.028)
Ni (0.743, 0.327, 0.167)
Ni (0.757, 0.827, 0.667)
N (0.221, 0.418, 0.572)
N (0.279, 0.918, 0.072)
N (0.721, 0.072, 0.918)
N (0.779, 0.572, 0.418)

***

No. 4
The following is a simulated powder X-ray diffraction pattern of Li4PrAg5. It was derived from a DFT-relaxed cell (PBE, Alexandria), using Cu Kα (λ = 1.5418 Å).

Peak list (10 most intense, 2θ = 10–80°, low angle first)
- 27.09 deg, I 71
- 27.62 deg, I 32
- 29.17 deg, I 32
- 31.58 deg, I 31
- 32.18 deg, I 41
- 34.71 deg, I 35
- 38.41 deg, I 100
- 38.69 deg, I 89
- 51.17 deg, I 43
- 69.84 deg, I 32

Unit cell a=3.291 b=3.291 c=16.692 alpha=90.00 beta=90.00 gamma=90.00
Element x y z (fractional)
Li (0.000, 0.000, 0.091)
Li (0.000, 0.000, 0.273)
Li (0.000, 0.000, 0.727)
Li (0.000, 0.000, 0.909)
Pr (0.000, 0.000, 0.500)
Ag (0.500, 0.500, 0.000)
Ag (0.500, 0.500, 0.182)
Ag (0.500, 0.500, 0.361)
Ag (0.500, 0.500, 0.639)
Ag (0.500, 0.500, 0.818)

***

No. 5
The following is a simulated powder X-ray diffraction pattern of LiPm2Cd3. It was derived from a DFT-relaxed cell (PBE, Alexandria), using Cu Kα (λ = 1.5418 Å).

Peak list (10 most intense, 2θ = 10–80°, low angle first)
- 20.15 deg, I 12
- 22.01 deg, I 10
- 33.79 deg, I 100
- 35.28 deg, I 84
- 49.66 deg, I 33
- 55.32 deg, I 7
- 62.38 deg, I 33
- 63.32 deg, I 15
- 67.33 deg, I 24
- 74.62 deg, I 9

Unit cell a=10.174 b=9.415 c=6.077 alpha=78.88 beta=65.24 gamma=35.88
Element x y z (fractional)
Li (0.167, 0.167, 0.833)
Li (0.833, 0.833, 0.167)
Pm (0.250, 0.250, 0.250)
Pm (0.253, 0.747, 0.747)
Pm (0.747, 0.253, 0.253)
Pm (0.750, 0.750, 0.750)
Cd (0.160, 0.670, 0.330)
Cd (0.330, 0.330, 0.670)
Cd (0.330, 0.840, 0.160)
Cd (0.670, 0.160, 0.840)
Cd (0.670, 0.670, 0.330)
Cd (0.840, 0.330, 0.670)

***

No. 6
The following is a simulated powder X-ray diffraction pattern of CrIrOs2Ru4. It was derived from a DFT-relaxed cell (PBE, Alexandria), using Cu Kα (λ = 1.5418 Å).

Peak list (10 most intense, 2θ = 10–80°, low angle first)
- 18.83 deg, I 15
- 25.90 deg, I 13
- 27.05 deg, I 14
- 34.73 deg, I 62
- 39.06 deg, I 50
- 39.23 deg, I 100
- 53.26 deg, I 37
- 53.38 deg, I 73
- 70.80 deg, I 9
- 70.96 deg, I 9

Unit cell a=7.410 b=7.410 c=5.297 alpha=110.86 beta=110.86 gamma=88.39
Element x y z (fractional)
Cr (0.000, 0.500, 0.000)
Cr (0.500, 0.000, 0.500)
Ir (0.000, 0.000, 0.000)
Ir (0.000, 0.000, 0.500)
Os (0.000, 0.500, 0.500)
Os (0.500, 0.000, 0.000)
Os (0.500, 0.500, 0.000)
Os (0.500, 0.500, 0.500)
Ru (0.223, 0.272, 0.497)
Ru (0.266, 0.734, 0.003)
Ru (0.266, 0.734, 0.497)
Ru (0.272, 0.223, 0.997)
Ru (0.728, 0.777, 0.003)
Ru (0.734, 0.266, 0.503)
Ru (0.734, 0.266, 0.997)
Ru (0.777, 0.728, 0.503)

***

No. 7
The following is a simulated powder X-ray diffraction pattern of Pm12Cd6Hg. It was derived from a DFT-relaxed cell (PBE, Alexandria), using Cu Kα (λ = 1.5418 Å).

Peak list (10 most intense, 2θ = 10–80°, low angle first)
- 31.64 deg, I 100
- 32.19 deg, I 33
- 36.86 deg, I 66
- 52.74 deg, I 23
- 53.48 deg, I 22
- 62.82 deg, I 13
- 63.15 deg, I 26
- 63.80 deg, I 13
- 66.08 deg, I 11
- 78.43 deg, I 7

Unit cell a=9.167 b=9.167 c=9.167 alpha=111.22 beta=111.22 gamma=111.22
Element x y z (fractional)
Pm (0.031, 0.300, 0.176)
Pm (0.176, 0.031, 0.300)
Pm (0.238, 0.606, 0.671)
Pm (0.300, 0.176, 0.031)
Pm (0.329, 0.762, 0.394)
Pm (0.394, 0.329, 0.762)
Pm (0.606, 0.671, 0.238)
Pm (0.671, 0.238, 0.606)
Pm (0.700, 0.824, 0.969)
Pm (0.762, 0.394, 0.329)
Pm (0.824, 0.969, 0.700)
Pm (0.969, 0.700, 0.824)
Cd (0.077, 0.857, 0.554)
Cd (0.143, 0.446, 0.923)
Cd (0.446, 0.923, 0.143)
Cd (0.554, 0.077, 0.857)
Cd (0.857, 0.554, 0.077)
Cd (0.923, 0.143, 0.446)
Hg (0.500, 0.500, 0.500)